No. 1
The following is a calculated powder X-ray diffraction pattern of NaW2O6. It was derived from a cell relaxed with PBE+U, using copper Kα.
Neutral-atom scattering factors, no anomalous dispersion.

Atomic structure:
Lattice parameters (Å, degrees): 5.529 5.529 5.529 119.99 90.00 120.01
Element x y z (fractional)
Na  0.000  0.000  0.000
W  0.253  0.505  0.748
W  0.758  0.505  0.252
O  0.006  0.006  0.501
O  0.006  0.505  0.000
O  0.009  0.509  0.500
O  0.498  0.498  0.000
O  0.505  0.006  0.000
O  0.505  0.505  0.499

Most intense lines, 10° ≤ 2θ ≤ 90°, in order of rising 2θ:
| two_theta | d (Å) | I_rel |
| --- | --- | --- |
| 22.75 | 3.909 | 1000 |
| 32.39 | 2.764 | 734 |
| 46.46 | 1.955 | 248 |
| 52.33 | 1.748 | 418 |
| 57.77 | 1.596 | 297 |
| 72.54 | 1.303 | 196 |

=====

No. 2
The following is a calculated powder X-ray diffraction pattern of Na5WO5. It was derived from a cell relaxed with PBE+U, using copper Kα.
Neutral-atom scattering factors, no anomalous dispersion.

Atomic structure:
Lattice parameters (Å, degrees): 5.874 5.874 10.311 99.75 99.75 113.46
Element x y z (fractional)
Na  0.023  0.279  0.565
Na  0.097  0.903  0.750
Na  0.223  0.451  0.918
Na  0.279  0.023  0.065
Na  0.451  0.223  0.418
Na  0.549  0.777  0.582
Na  0.721  0.977  0.935
Na  0.777  0.549  0.082
Na  0.903  0.097  0.250
Na  0.977  0.721  0.435
W  0.356  0.644  0.250
W  0.644  0.356  0.750
O  0.114  0.332  0.112
O  0.162  0.838  0.250
O  0.224  0.484  0.390
O  0.332  0.114  0.612
O  0.484  0.224  0.890
O  0.516  0.776  0.110
O  0.668  0.886  0.388
O  0.776  0.516  0.610
O  0.838  0.162  0.750
O  0.886  0.668  0.888

Most intense lines, 10° ≤ 2θ ≤ 90°, in order of rising 2θ:
| two_theta | d (Å) | I_rel |
| --- | --- | --- |
| 17.07 | 5.194 | 1000 |
| 18.09 | 4.904 | 338 |
| 20.22 | 4.391 | 756 |
| 21.35 | 4.162 | 587 |
| 32.91 | 2.721 | 320 |
| 36.60 | 2.455 | 346 |

=====

No. 3
The following is a calculated powder X-ray diffraction pattern of Na2W2O5. It was derived from a cell relaxed with PBE+U, using copper Kα.
Neutral-atom scattering factors, no anomalous dispersion.

Atomic structure:
Lattice parameters (Å, degrees): 8.507 8.507 8.507 57.27 140.05 140.73
Element x y z (fractional)
Na  0.030  0.104  0.133
Na  0.030  0.396  0.426
Na  0.970  0.604  0.574
Na  0.970  0.896  0.867
W  0.475  0.475  0.000
W  0.475  0.975  0.500
W  0.509  0.818  0.192
W  0.626  0.318  0.808
O  0.037  0.661  0.875
O  0.373  0.097  0.557
O  0.373  0.316  0.776
O  0.478  0.204  0.230
O  0.478  0.748  0.773
O  0.540  0.597  0.224
O  0.540  0.816  0.443
O  0.786  0.161  0.125
O  0.974  0.248  0.770
O  0.974  0.704  0.227

Most intense lines, 10° ≤ 2θ ≤ 90°, in order of rising 2θ:
| two_theta | d (Å) | I_rel |
| --- | --- | --- |
| 21.80 | 4.076 | 1000 |
| 23.83 | 3.733 | 485 |
| 30.76 | 2.907 | 270 |
| 31.29 | 2.859 | 267 |
| 32.52 | 2.753 | 926 |
| 44.45 | 2.038 | 204 |

=====

No. 4
The following is a calculated powder X-ray diffraction pattern of Na2W3O9. It was derived from a cell relaxed with PBE+U, using copper Kα.
Neutral-atom scattering factors, no anomalous dispersion.

Atomic structure:
Lattice parameters (Å, degrees): 5.559 5.559 6.805 90.00 90.00 120.00
Element x y z (fractional)
Na  0.333  0.667  0.168
Na  0.667  0.333  0.832
W  0.000  0.000  0.000
W  0.333  0.667  0.662
W  0.667  0.333  0.338
O  0.000  0.500  0.500
O  0.167  0.335  0.838
O  0.167  0.833  0.838
O  0.335  0.167  0.162
O  0.500  0.000  0.500
O  0.500  0.500  0.500
O  0.665  0.833  0.838
O  0.833  0.167  0.162
O  0.833  0.665  0.162

Most intense lines, 10° ≤ 2θ ≤ 90°, in order of rising 2θ:
| two_theta | d (Å) | I_rel |
| --- | --- | --- |
| 22.62 | 3.930 | 1000 |
| 32.21 | 2.779 | 804 |
| 46.20 | 1.965 | 270 |
| 52.03 | 1.758 | 419 |
| 57.43 | 1.604 | 324 |
| 72.10 | 1.310 | 197 |